1.
The following is a theoretical powder X-ray diffraction pattern of Li2InSbO4. It was derived from a PBE-relaxed structure, using Cu Kα.
Neutral-atom scattering factors, no anomalous dispersion.

Most intense lines, 2θ = 10–90°, low angle first:
2θ (°)  intensity  index
21.81  1000  1 0 1
33.75  399  1 1 2
34.19  257  1 0 3
40.17  361  2 0 0
46.17  268  2 1 1
55.82  248  2 0 4

Crystal structure
```
data_Li2InSbO4
_cell_length_a 4.490
_cell_length_b 4.490
_cell_length_c 9.694
_cell_angle_alpha 90.00
_cell_angle_beta 90.00
_cell_angle_gamma 90.00
_symmetry_space_group_name_H-M 'I -4 m 2'
_symmetry_Int_Tables_number 119
_symmetry_space_group_name_Hall 'I -4 -2'
loop_
_atom_site_label
_atom_site_type_symbol
_atom_site_fract_x
_atom_site_fract_y
_atom_site_fract_z
_atom_site_occupancy
Li1 Li 0.000 0.000 0.000 1
Li2 Li 0.000 0.500 0.250 1
In1 In 0.000 0.000 0.500 1
Sb1 Sb 0.000 0.500 0.750 1
O1 O 0.000 0.000 0.273 1
O2 O 0.000 0.500 0.507 1
```

---

2.
The following is a theoretical powder X-ray diffraction pattern of LiTb2InO5. It was derived from a PBE-relaxed structure, using Cu Kα.
Neutral-atom scattering factors, no anomalous dispersion.

Most intense lines, 2θ = 10–90°, low angle first:
2θ (°)  intensity  index
27.80  679  1 1 0
30.62  831  0 2 3
32.59  420  0 4 2
33.81  422  1 3 0
39.47  1000  1 1 3
47.67  629  1 5 2

Crystal structure
```
data_LiTb2InO5
_cell_length_a 3.306
_cell_length_b 13.306
_cell_length_c 9.749
_cell_angle_alpha 90.00
_cell_angle_beta 90.00
_cell_angle_gamma 90.00
_symmetry_space_group_name_H-M 'C m c 21'
_symmetry_Int_Tables_number 36
loop_
_symmetry_equiv_pos_as_xyz
'x,y,z'
'-x,-y,z+1/2'
'-x,y,z'
'x,-y,z+1/2'
'x+1/2,y+1/2,z'
'-x+1/2,-y+1/2,z+1/2'
'-x+1/2,y+1/2,z'
'x+1/2,-y+1/2,z+1/2'
loop_
_atom_site_label
_atom_site_type_symbol
_atom_site_fract_x
_atom_site_fract_y
_atom_site_fract_z
_atom_site_occupancy
Li1 Li 0.000 0.015 0.000 1
Tb1 Tb 0.000 0.377 0.813 1
Tb2 Tb 0.000 0.391 0.203 1
In1 In 0.000 0.302 0.518 1
O1 O 0.000 0.001 0.801 1
O2 O 0.000 0.138 0.521 1
O3 O 0.000 0.198 0.867 1
O4 O 0.000 0.212 0.179 1
O5 O 0.000 0.455 0.582 1
```

---

3.
The following is a theoretical powder X-ray diffraction pattern of Li2InTeO6. It was derived from a PBE-relaxed structure, using Cu Kα.
Neutral-atom scattering factors, no anomalous dispersion.

Most intense lines, 2θ = 10–90°, low angle first:
2θ (°)  intensity  index
13.03  494  1 1 0
18.12  1000  2 0 0
32.51  266  1 3 -1
33.41  236  0 0 2
38.86  348  3 3 -1
52.04  158  5 3 -1

Crystal structure
```
data_Li2InTeO6
_cell_length_a 10.601
_cell_length_b 9.426
_cell_length_c 5.805
_cell_angle_alpha 90.00
_cell_angle_beta 112.48
_cell_angle_gamma 90.00
_symmetry_space_group_name_H-M 'C 1 2/c 1'
_symmetry_Int_Tables_number 15
loop_
_symmetry_equiv_pos_as_xyz
'x,y,z'
'-x,-y,-z'
'-x,y,-z+1/2'
'x,-y,z+1/2'
'x+1/2,y+1/2,z'
'-x+1/2,-y+1/2,-z'
'-x+1/2,y+1/2,-z+1/2'
'x+1/2,-y+1/2,z+1/2'
loop_
_atom_site_label
_atom_site_type_symbol
_atom_site_fract_x
_atom_site_fract_y
_atom_site_fract_z
_atom_site_occupancy
Li1 Li 0.187 0.071 0.135 1
In1 In 0.000 0.403 0.250 1
Te1 Te 0.000 0.252 0.750 1
O1 O 0.103 0.258 0.107 1
O2 O 0.111 0.408 0.681 1
O3 O 0.117 0.094 0.752 1
```

---

- Which formula does entry 3 have?
  Li2InTeO6